Starting from a DFT-relaxed cell (PBE, Alexandria), the powder diffraction line list of Co3Pt4 was calculated for a wavelength of 1.5418 Å.
Neutral-atom scattering factors, no anomalous dispersion.

Cell and atoms:
```
Co3Pt4
1.0
3.174 0.000 0.000
0.000 3.174 0.000
0.000 0.000 19.578
Co Pt
6 8
Direct
0.000 0.000 0.000
0.000 0.000 0.281
0.000 0.000 0.719
0.500 0.500 0.219
0.500 0.500 0.500
0.500 0.500 0.781
0.000 0.000 0.151
0.000 0.000 0.431
0.000 0.000 0.569
0.000 0.000 0.849
0.500 0.500 0.069
0.500 0.500 0.349
0.500 0.500 0.651
0.500 0.500 0.931
```

Principal peaks in the range 2θ from 10° to 80°, in order of falling intensity:
two_theta, I/Imax
43.11, 100
40.18, 65
75.05, 39
31.34, 31
58.13, 22
18.12, 12
67.54, 8
36.44, 7
63.01, 7
66.91, 6
44.41, 5
46.38, 4


Starting from a DFT-relaxed cell (PBE, Alexandria), the powder diffraction line list of Pr3Cu4 was calculated for a wavelength of 1.5418 Å.
Neutral-atom scattering factors, no anomalous dispersion.

Cell and atoms:
```
Pr3Cu4
1.0
4.396 0.000 0.000
0.000 13.512 0.000
-2.188 0.000 5.150
Pr Cu
6 8
Direct
0.013 0.250 0.025
0.274 0.603 0.549
0.274 0.897 0.549
0.726 0.103 0.451
0.726 0.397 0.451
0.987 0.750 0.975
0.000 0.000 0.000
0.000 0.500 0.000
0.313 0.250 0.624
0.437 0.086 0.874
0.437 0.414 0.874
0.563 0.586 0.126
0.563 0.914 0.126
0.687 0.750 0.376
```

Principal peaks in the range 2θ from 10° to 80°, in order of falling intensity:
two_theta, I/Imax
29.69, 100
38.83, 78
34.60, 70
41.07, 63
31.68, 59
33.11, 55
33.78, 45
40.35, 44
58.73, 41
34.84, 39
40.05, 37
52.78, 28


Starting from a DFT-relaxed cell (PBE, Alexandria), the powder diffraction line list of Sr4NF6 was calculated for a wavelength of 1.5418 Å.
Neutral-atom scattering factors, no anomalous dispersion.

Cell and atoms:
```
Sr4NF6
1.0
8.307 0.000 0.000
0.000 8.307 0.000
0.000 0.000 5.930
Sr N F
8 2 12
Direct
0.008 0.250 0.035
0.250 0.008 0.535
0.250 0.492 0.535
0.492 0.250 0.035
0.508 0.750 0.965
0.750 0.508 0.465
0.750 0.992 0.465
0.992 0.750 0.965
0.250 0.750 0.750
0.750 0.250 0.250
0.028 0.528 0.250
0.028 0.972 0.250
0.250 0.250 0.282
0.250 0.250 0.782
0.472 0.528 0.250
0.472 0.972 0.250
0.528 0.028 0.750
0.528 0.472 0.750
0.750 0.750 0.218
0.750 0.750 0.718
0.972 0.028 0.750
0.972 0.472 0.750
```

Principal peaks in the range 2θ from 10° to 80°, in order of falling intensity:
two_theta, I/Imax
26.19, 100
43.37, 40
51.56, 30
43.58, 22
30.43, 15
51.18, 10
79.87, 10
69.43, 8
63.33, 6
69.75, 6
53.90, 5
30.14, 5